Record 1
Diffraction record for TbYO. The X-ray powder pattern is theoretical, not measured: it uses a structure optimized by DFT (PBE) and Cu Kα, 1.54184 Å.

Structure:
Unit cell a=3.5340 b=3.5340 c=5.7885 alpha=90.00 beta=90.00 gamma=120.00
Space group P3m1 (No. 156)
Inequivalent atoms, fractional coordinates:
Tb: 0.0000 0.0000 0.0000
Y: 0.3333 0.6667 0.4697
O: 0.6667 0.3333 0.2364

Most intense lines, 2θ from 15° to 90°, by intensity:
2theta	intensity
33.1	100
43.0	25
30.9	22
29.2	22
56.4	21
51.7	21
61.5	19
62.8	16
15.3	13
85.6	13

Record 2
Diffraction record for TbYO3. The X-ray powder pattern is theoretical, not measured: it uses a structure optimized by DFT (PBE) and Cu Kα, 1.54184 Å.

Structure:
Unit cell a=5.9889 b=5.9889 c=3.0710 alpha=90.00 beta=90.00 gamma=120.00
Space group P-6m2 (No. 187)
Inequivalent atoms, fractional coordinates:
Tb: 0.0000 0.0000 0.0000
Y: 0.3333 0.6667 0.0000
O: 0.1670 0.3341 0.5000

Most intense lines, 2θ from 15° to 90°, by intensity:
2theta	intensity
17.1	100
42.1	59
29.8	58
33.9	23
45.8	22
61.6	19
29.1	15
46.3	15
53.0	12
55.6	12

Record 3
Diffraction record for TbZnO3. The X-ray powder pattern is theoretical, not measured: it uses a structure optimized by DFT (PBE) and Cu Kα, 1.54184 Å.

Structure:
Unit cell a=5.5971 b=5.5971 c=16.2480 alpha=90.00 beta=90.00 gamma=120.00
Space group R-3c (No. 167, hexagonal axes)
Inequivalent atoms, fractional coordinates:
Tb: 0.0000 0.0000 0.0000
Zn: 0.0000 0.0000 0.2500
O: 0.0000 0.3372 0.2500

Most intense lines, 2θ from 15° to 90°, by intensity:
2theta	intensity
28.7	100
32.0	60
43.5	33
55.0	32
21.3	29
48.6	23
57.0	20
69.0	16
59.4	13
74.3	13

Record 4
Diffraction record for TcTeO5. The X-ray powder pattern is theoretical, not measured: it uses a structure optimized by DFT (PBE) and Cu Kα, 1.54184 Å.

Structure:
Unit cell a=8.8501 b=6.6656 c=7.4460 alpha=90.00 beta=111.86 gamma=90.00
Space group Cc (No. 9)
Inequivalent atoms, fractional coordinates:
Tc: 0.0000 0.0026 0.0000
Te: 0.4752 0.0185 0.2334
O: 0.0175 0.0534 0.2649
O: 0.0213 0.2968 0.5580
O: 0.2436 0.0299 0.1157
O: 0.2914 0.4908 0.9241
O: 0.4926 0.1990 0.4486

Most intense lines, 2θ from 15° to 90°, by intensity:
2theta	intensity
27.5	100
21.6	98
26.7	58
34.4	32
34.7	31
52.3	27
47.7	26
36.0	25
44.1	19
56.7	14

Record 5
Diffraction record for Tc2TeO8. The X-ray powder pattern is theoretical, not measured: it uses a structure optimized by DFT (PBE) and Cu Kα, 1.54184 Å.

Structure:
Unit cell a=9.9162 b=7.7789 c=5.3894 alpha=90.00 beta=91.43 gamma=90.00
Space group C2/m (No. 12)
Inequivalent atoms, fractional coordinates:
Tc: 0.2130 0.0000 0.0896
Te: 0.0000 0.0000 0.5000
O: 0.1178 0.1617 0.2651
O: 0.1227 0.5000 0.8166
O: 0.1666 0.0000 0.7618

Most intense lines, 2θ from 15° to 90°, by intensity:
2theta	intensity
22.9	100
33.5	93
22.2	77
24.7	69
47.4	45
36.2	45
24.1	32
33.9	30
49.5	26
58.6	21

Record 6
Diffraction record for Tl2TcTeO6. The X-ray powder pattern is theoretical, not measured: it uses a structure optimized by DFT (PBE) and Cu Kα, 1.54184 Å.

Structure:
Unit cell a=5.4873 b=5.4873 c=11.5132 alpha=90.00 beta=90.00 gamma=90.00
Space group I4/mmm (No. 139)
Inequivalent atoms, fractional coordinates:
Tl: 0.0000 0.5000 0.2500
Tc: 0.0000 0.0000 0.0000
Te: 0.0000 0.0000 0.5000
O: 0.0000 0.0000 0.3370
O: 0.2422 0.2422 0.0000

Most intense lines, 2θ from 15° to 90°, by intensity:
2theta	intensity
27.7	100
32.6	31
55.3	30
31.1	23
45.7	21
53.3	19
46.8	17
57.3	16
73.6	14
36.3	9

Record 7
Diffraction record for Tl2TcO4. The X-ray powder pattern is theoretical, not measured: it uses a structure optimized by DFT (PBE) and Cu Kα, 1.54184 Å.

Structure:
Unit cell a=6.5787 b=6.2753 c=8.5678 alpha=90.00 beta=110.89 gamma=90.00
Space group P2_1/m (No. 11)
Inequivalent atoms, fractional coordinates:
Tl: 0.1758 0.2500 0.1502
Tl: 0.2431 0.7500 0.4719
Tc: 0.3356 0.2500 0.7144
O: 0.1523 0.2500 0.4999
O: 0.1629 0.2500 0.8343
O: 0.4972 0.0136 0.7367

Most intense lines, 2θ from 15° to 90°, by intensity:
2theta	intensity
25.5	100
26.0	86
28.4	63
26.4	49
27.1	33
41.1	31
29.1	28
59.6	27
20.4	27
39.7	25

Record 8
Diffraction record for TlTc2O7. The X-ray powder pattern is theoretical, not measured: it uses a structure optimized by DFT (PBE) and Cu Kα, 1.54184 Å.

Structure:
Unit cell a=8.7868 b=11.5889 c=5.9858 alpha=90.00 beta=90.00 gamma=90.00
Space group Cmm2 (No. 35)
Inequivalent atoms, fractional coordinates:
Tl: 0.0000 0.0000 0.0000
Tc: 0.2110 0.5000 0.4236
O: 0.0000 0.5000 0.3824
O: 0.2070 0.1186 0.2933
O: 0.2454 0.0000 0.7070

Most intense lines, 2θ from 15° to 90°, by intensity:
2theta	intensity
15.3	100
19.5	67
29.6	49
25.1	46
29.3	27
40.2	20
33.7	15
44.0	14
54.1	13
30.9	13

Record 9
Diffraction record for TlTcO3. The X-ray powder pattern is theoretical, not measured: it uses a structure optimized by DFT (PBE) and Cu Kα, 1.54184 Å.

Structure:
Unit cell a=5.3862 b=5.3862 c=21.4690 alpha=90.00 beta=90.00 gamma=120.00
Space group R-3 (No. 148, hexagonal axes)
Inequivalent atoms, fractional coordinates:
Tl: 0.0000 0.0000 0.1168
Tc: 0.0000 0.0000 0.3335
O: 0.0003 0.3957 0.9494

Most intense lines, 2θ from 15° to 90°, by intensity:
2theta	intensity
25.3	100
33.3	62
28.2	61
51.2	46
59.4	25
54.8	24
42.2	24
19.5	22
44.2	18
56.4	18

Record 10
Diffraction record for TlTc4O8. The X-ray powder pattern is theoretical, not measured: it uses a structure optimized by DFT (PBE) and Cu Kα, 1.54184 Å.

Structure:
Unit cell a=14.5386 b=2.8283 c=10.2777 alpha=90.00 beta=134.96 gamma=90.00
Space group C2/m (No. 12)
Inequivalent atoms, fractional coordinates:
Tl: 0.0000 0.0000 0.0000
Tc: 0.1664 0.0000 0.4893
Tc: 0.1771 0.5000 0.8436
O: 0.0360 0.0000 0.7026
O: 0.1372 0.5000 0.3134
O: 0.1661 0.5000 0.6301
O: 0.1765 0.5000 0.0397

Most intense lines, 2θ from 15° to 90°, by intensity:
2theta	intensity
27.4	100
37.3	63
48.7	50
24.5	41
51.8	24
53.5	24
41.4	23
39.2	22
67.0	20
58.3	18

Record 11
Diffraction record for TlTcO3. The X-ray powder pattern is theoretical, not measured: it uses a structure optimized by DFT (PBE) and Cu Kα, 1.54184 Å.

Structure:
Unit cell a=6.0697 b=11.8737 c=5.3768 alpha=90.00 beta=90.09 gamma=90.00
Space group P2_1/c (No. 14)
Inequivalent atoms, fractional coordinates:
Tl: 0.2499 0.1160 0.0236
Tc: 0.2503 0.6866 0.0175
O: 0.0496 0.7339 0.7476
O: 0.2503 0.5447 0.0756
O: 0.4509 0.7339 0.7484

Most intense lines, 2θ from 15° to 90°, by intensity:
2theta	intensity
26.8	100
26.9	25
29.4	22
50.6	17
45.1	17
51.8	15
41.6	14
18.1	14
33.3	13
43.3	11